1.
Diffraction record for Nb4CrC2S4. The powder diffraction line list is theoretical, not measured: it uses a DFT-relaxed cell (GGA-PBE, the Materials Project) and Cu Kα X-rays.
Lines closer than 0.1° are merged.

Cell and atoms:
abc: 5.7812 3.3409 8.7535
angles: 90.00 102.27 90.00
Element x y z (fractional)
Nb (0.1184, 0.0000, 0.3671)
Nb (0.3711, 0.5000, 0.6334)
Nb (0.6289, 0.5000, 0.3666)
Nb (0.8816, 0.0000, 0.6329)
Cr (0.0000, 0.0000, 0.0000)
C (0.0000, 0.5000, 0.5000)
C (0.5000, 0.0000, 0.5000)
S (0.2271, 0.5000, 0.1635)
S (0.2752, 0.0000, 0.8311)
S (0.7248, 0.0000, 0.1689)
S (0.7729, 0.5000, 0.8365)

Most intense lines, 10° ≤ 2θ ≤ 80°, in order of falling intensity:
- 2θ = 10.34°, I = 100
- 2θ = 31.12°, I = 75
- 2θ = 55.00°, I = 59
- 2θ = 42.15°, I = 58
- 2θ = 35.69°, I = 57
- 2θ = 39.61°, I = 49
- 2θ = 41.91°, I = 33
- 2θ = 35.53°, I = 27
- 2θ = 39.87°, I = 23
- 2θ = 33.95°, I = 20
- 2θ = 71.45°, I = 19
- 2θ = 42.26°, I = 18


2.
Diffraction record for Cr24P11C. The powder diffraction line list is theoretical, not measured: it uses a DFT-relaxed cell (GGA-PBE, the Materials Project) and Cu Kα X-rays.
Lines closer than 0.1° are merged.

Cell and atoms:
abc: 3.1774 21.4642 6.1974
angles: 90.00 90.00 90.00
Element x y z (fractional)
Cr (0.0000, 0.0000, 0.0000)
Cr (0.0000, 0.0930, 0.4299)
Cr (0.0000, 0.1466, 0.9056)
Cr (0.0000, 0.2499, 0.5152)
Cr (0.0000, 0.3498, 0.9132)
Cr (0.0000, 0.3999, 0.4131)
Cr (0.0000, 0.5000, 0.0138)
Cr (0.0000, 0.6001, 0.4131)
Cr (0.0000, 0.6502, 0.9132)
Cr (0.0000, 0.7501, 0.5152)
Cr (0.0000, 0.8534, 0.9056)
Cr (0.0000, 0.9070, 0.4299)
Cr (0.5000, 0.0000, 0.3768)
Cr (0.5000, 0.0573, 0.7305)
Cr (0.5000, 0.1827, 0.2436)
Cr (0.5000, 0.2486, 0.8547)
Cr (0.5000, 0.3140, 0.2423)
Cr (0.5000, 0.4353, 0.7428)
Cr (0.5000, 0.5000, 0.3551)
Cr (0.5000, 0.5647, 0.7428)
Cr (0.5000, 0.6860, 0.2423)
Cr (0.5000, 0.7514, 0.8547)
Cr (0.5000, 0.8173, 0.2436)
Cr (0.5000, 0.9427, 0.7305)
P (0.0000, 0.2482, 0.1148)
P (0.0000, 0.5000, 0.6134)
P (0.0000, 0.7518, 0.1148)
P (0.5000, 0.0813, 0.1138)
P (0.5000, 0.1645, 0.6115)
P (0.5000, 0.3331, 0.6140)
P (0.5000, 0.4166, 0.1138)
P (0.5000, 0.5834, 0.1138)
P (0.5000, 0.6669, 0.6140)
P (0.5000, 0.8355, 0.6115)
P (0.5000, 0.9187, 0.1138)
C (0.0000, 0.0000, 0.6093)

Most intense lines, 10° ≤ 2θ ≤ 80°, in order of falling intensity:
- 2θ = 40.67°, I = 100
- 2θ = 44.18°, I = 52
- 2θ = 44.68°, I = 47
- 2θ = 51.06°, I = 26
- 2θ = 53.60°, I = 17
- 2θ = 58.06°, I = 16
- 2θ = 76.10°, I = 16
- 2θ = 69.77°, I = 9
- 2θ = 62.39°, I = 6
- 2θ = 28.81°, I = 4
- 2θ = 77.18°, I = 4
- 2θ = 77.53°, I = 3


3.
Diffraction record for Cr3PC. The powder diffraction line list is theoretical, not measured: it uses a DFT-relaxed cell (GGA-PBE, the Materials Project) and Cu Kα X-rays.
Lines closer than 0.1° are merged.

Cell and atoms:
abc: 5.1210 5.1210 7.2582
angles: 90.00 90.00 146.25
Element x y z (fractional)
Cr (0.0599, 0.9401, 0.7500)
Cr (0.3705, 0.6295, 0.5555)
Cr (0.3705, 0.6295, 0.9445)
Cr (0.6295, 0.3705, 0.0555)
Cr (0.6295, 0.3705, 0.4445)
Cr (0.9401, 0.0599, 0.2500)
P (0.2566, 0.7434, 0.2500)
P (0.7434, 0.2566, 0.7500)
C (0.0000, 0.0000, 0.0000)
C (0.0000, 0.0000, 0.5000)

Most intense lines, 10° ≤ 2θ ≤ 80°, in order of falling intensity:
- 2θ = 40.28°, I = 100
- 2θ = 42.98°, I = 94
- 2θ = 41.63°, I = 87
- 2θ = 41.05°, I = 74
- 2θ = 44.62°, I = 45
- 2θ = 49.45°, I = 35
- 2θ = 79.04°, I = 27
- 2θ = 62.47°, I = 26
- 2θ = 77.91°, I = 25
- 2θ = 62.23°, I = 17
- 2θ = 38.79°, I = 17
- 2θ = 50.28°, I = 17